Entry 1:
Structure and simulated X-ray powder pattern of LuFe10Mo2 (the GGA-PBE geometry in the Materials Project; Cu Ka).
Lines closer than 0.1° are merged.

```
data_LuFe10Mo2
_cell_length_a 4.721
_cell_length_b 8.518
_cell_length_c 8.563
_cell_angle_alpha 90.00
_cell_angle_beta 90.00
_cell_angle_gamma 90.00
_symmetry_space_group_name_H-M 'I m m m'
_symmetry_Int_Tables_number 71
_symmetry_space_group_name_Hall '-I 2 2'
loop_
_atom_site_label
_atom_site_type_symbol
_atom_site_fract_x
_atom_site_fract_y
_atom_site_fract_z
Lu1 Lu 0.000 0.000 0.000
Fe1 Fe 0.000 0.282 0.500
Fe2 Fe 0.000 0.357 0.000
Fe3 Fe 0.000 0.500 0.278
Fe4 Fe 0.250 0.250 0.250
Mo1 Mo 0.000 0.000 0.356
```

Main lines, in order of rising 2θ (2θ = 15–90°):
two_theta, intensity
21.5, 169
30.1, 206
33.1, 143
36.8, 314
36.9, 331
38.1, 200
42.2, 195
42.5, 299
42.7, 1000
43.8, 655
49.0, 188
72.0, 199

---

Entry 2:
Structure and simulated X-ray powder pattern of Lu12Fe2Pb3 (the GGA-PBE geometry in the Materials Project; Cu Ka).
Lines closer than 0.1° are merged.

```
data_Lu12Fe2Pb3
_cell_length_a 9.575
_cell_length_b 9.575
_cell_length_c 9.769
_cell_angle_alpha 90.00
_cell_angle_beta 90.00
_cell_angle_gamma 90.00
_symmetry_space_group_name_H-M 'I 4/m m m'
_symmetry_Int_Tables_number 139
_symmetry_space_group_name_Hall '-I 4 2'
loop_
_atom_site_label
_atom_site_type_symbol
_atom_site_fract_x
_atom_site_fract_y
_atom_site_fract_z
Lu1 Lu 0.000 0.246 0.212
Lu2 Lu 0.190 0.190 0.500
Fe1 Fe 0.000 0.000 0.381
Pb1 Pb 0.000 0.000 0.000
Pb2 Pb 0.000 0.500 0.000
```

Main lines, in order of rising 2θ (2θ = 15–90°):
two_theta, intensity
29.4, 232
32.2, 1000
34.6, 273
35.0, 85
36.8, 141
37.6, 313
53.6, 90
54.2, 105
55.1, 103
59.2, 96
64.4, 132
71.0, 55

---

Entry 3:
Structure and simulated X-ray powder pattern of Lu4FeS7 (the GGA-PBE geometry in the Materials Project; Cu Ka).
Lines closer than 0.1° are merged.

```
data_Lu4FeS7
_cell_length_a 12.189
_cell_length_b 3.691
_cell_length_c 11.211
_cell_angle_alpha 90.00
_cell_angle_beta 104.41
_cell_angle_gamma 90.00
_symmetry_space_group_name_H-M 'C 1 m 1'
_symmetry_Int_Tables_number 8
loop_
_symmetry_equiv_pos_as_xyz
'x,y,z'
'x,-y,z'
'x+1/2,y+1/2,z'
'x+1/2,-y+1/2,z'
loop_
_atom_site_label
_atom_site_type_symbol
_atom_site_fract_x
_atom_site_fract_y
_atom_site_fract_z
Lu1 Lu 0.000 0.000 0.000
Lu2 Lu 0.081 0.500 0.361
Lu3 Lu 0.195 0.500 0.801
Lu4 Lu 0.389 0.000 0.597
Fe1 Fe 0.306 0.500 0.219
S1 S 0.035 0.000 0.744
S2 S 0.161 0.500 0.021
S3 S 0.202 0.000 0.290
S4 S 0.231 0.500 0.579
S5 S 0.355 0.000 0.846
S6 S 0.427 0.000 0.149
S7 S 0.450 0.500 0.434
```

Main lines, in order of rising 2θ (2θ = 15–90°):
two_theta, intensity
24.9, 1000
25.5, 938
26.0, 343
27.2, 319
29.2, 451
29.3, 466
32.9, 361
33.3, 460
34.6, 516
35.7, 563
43.6, 436
49.4, 334

---

Entry 4:
Structure and simulated X-ray powder pattern of Lu6FeSb2 (the GGA-PBE geometry in the Materials Project; Cu Ka).
Lines closer than 0.1° are merged.

```
data_Lu6FeSb2
_cell_length_a 8.0164
_cell_length_b 8.0164
_cell_length_c 4.0679
_cell_angle_alpha 90.00
_cell_angle_beta 90.00
_cell_angle_gamma 120.00
_symmetry_space_group_name_H-M 'P -6 2 m'
_symmetry_Int_Tables_number 189
_symmetry_space_group_name_Hall 'P -6 -2'
loop_
_atom_site_label
_atom_site_type_symbol
_atom_site_fract_x
_atom_site_fract_y
_atom_site_fract_z
Lu1 Lu 0.0000 0.2331 0.0000
Lu2 Lu 0.0000 0.6108 0.5000
Fe1 Fe 0.0000 0.0000 0.5000
Sb1 Sb 0.3333 0.6667 0.0000
```

Main lines, in order of rising 2θ (2θ = 15–90°):
two_theta, intensity
31.3, 1000
34.0, 477
34.2, 584
38.9, 246
40.9, 276
44.5, 200
52.6, 153
57.3, 269
60.6, 133
62.6, 198
65.8, 143
73.8, 87

---

Entry 5:
Structure and simulated X-ray powder pattern of Lu3Fe2Si3 (the GGA-PBE geometry in the Materials Project; Cu Ka).
Lines closer than 0.1° are merged.

```
data_Lu3Fe2Si3
_cell_length_a 4.030
_cell_length_b 10.273
_cell_length_c 13.321
_cell_angle_alpha 90.00
_cell_angle_beta 90.00
_cell_angle_gamma 90.00
_symmetry_space_group_name_H-M 'C m c m'
_symmetry_Int_Tables_number 63
_symmetry_space_group_name_Hall '-C 2c 2'
loop_
_atom_site_label
_atom_site_type_symbol
_atom_site_fract_x
_atom_site_fract_y
_atom_site_fract_z
Lu1 Lu 0.000 0.078 0.113
Lu2 Lu 0.000 0.361 0.250
Fe1 Fe 0.000 0.214 0.581
Si1 Si 0.000 0.329 0.750
Si2 Si 0.000 0.379 0.039
```

Main lines, in order of rising 2θ (2θ = 15–90°):
two_theta, intensity
24.7, 351
26.5, 474
27.3, 218
35.0, 724
35.6, 205
36.1, 1000
38.0, 250
40.1, 377
40.6, 376
45.0, 341
60.2, 195
62.2, 209

---

Entry 6:
Structure and simulated X-ray powder pattern of LuFe10Si2 (the GGA-PBE geometry in the Materials Project; Cu Ka).
Lines closer than 0.1° are merged.

```
data_LuFe10Si2
_cell_length_a 4.770
_cell_length_b 11.553
_cell_length_c 11.701
_cell_angle_alpha 90.00
_cell_angle_beta 90.00
_cell_angle_gamma 90.00
_symmetry_space_group_name_H-M 'F m m m'
_symmetry_Int_Tables_number 69
_symmetry_space_group_name_Hall '-F 2 2'
loop_
_atom_site_label
_atom_site_type_symbol
_atom_site_fract_x
_atom_site_fract_y
_atom_site_fract_z
Lu1 Lu 0.000 0.000 0.000
Fe1 Fe 0.000 0.110 0.391
Fe2 Fe 0.000 0.181 0.178
Fe3 Fe 0.250 0.000 0.250
Si1 Si 0.250 0.250 0.000
```

Main lines, in order of rising 2θ (2θ = 15–90°):
two_theta, intensity
15.3, 131
21.6, 166
30.6, 192
30.8, 182
34.4, 140
37.7, 225
37.9, 472
43.8, 1000
44.1, 404
44.2, 475
80.5, 156
80.9, 145

---

Entry 7:
Structure and simulated X-ray powder pattern of LuFe10Si2 (the GGA-PBE geometry in the Materials Project; Cu Ka).
Lines closer than 0.1° are merged.

```
data_LuFe10Si2
_cell_length_a 4.749
_cell_length_b 8.241
_cell_length_c 8.306
_cell_angle_alpha 90.00
_cell_angle_beta 90.00
_cell_angle_gamma 90.00
_symmetry_space_group_name_H-M 'I m m m'
_symmetry_Int_Tables_number 71
_symmetry_space_group_name_Hall '-I 2 2'
loop_
_atom_site_label
_atom_site_type_symbol
_atom_site_fract_x
_atom_site_fract_y
_atom_site_fract_z
Lu1 Lu 0.000 0.000 0.000
Fe1 Fe 0.000 0.000 0.360
Fe2 Fe 0.000 0.293 0.500
Fe3 Fe 0.000 0.354 0.000
Fe4 Fe 0.250 0.250 0.250
Si1 Si 0.000 0.500 0.268
```

Main lines, in order of rising 2θ (2θ = 15–90°):
two_theta, intensity
21.6, 198
30.6, 212
30.7, 177
37.6, 174
37.8, 478
43.6, 221
43.8, 342
43.9, 1000
44.0, 257
49.4, 156
72.5, 136
80.3, 173

---

Entry 8:
Structure and simulated X-ray powder pattern of LuV2Fe10 (the GGA-PBE geometry in the Materials Project; Cu Ka).
Lines closer than 0.1° are merged.

```
data_LuV2Fe10
_cell_length_a 4.684
_cell_length_b 8.380
_cell_length_c 8.449
_cell_angle_alpha 90.00
_cell_angle_beta 90.00
_cell_angle_gamma 90.00
_symmetry_space_group_name_H-M 'I m m m'
_symmetry_Int_Tables_number 71
_symmetry_space_group_name_Hall '-I 2 2'
loop_
_atom_site_label
_atom_site_type_symbol
_atom_site_fract_x
_atom_site_fract_y
_atom_site_fract_z
Lu1 Lu 0.000 0.000 0.000
V1 V 0.000 0.000 0.358
Fe1 Fe 0.000 0.278 0.500
Fe2 Fe 0.000 0.358 0.000
Fe3 Fe 0.000 0.500 0.276
Fe4 Fe 0.250 0.250 0.250
```

Main lines, in order of rising 2θ (2θ = 15–90°):
two_theta, intensity
30.5, 612
37.3, 306
37.5, 305
38.4, 211
42.8, 423
43.2, 1000
43.4, 716
44.3, 918
49.5, 266
62.5, 149
72.9, 268
78.8, 132

---

Entry 9:
Structure and simulated X-ray powder pattern of Mg15Fe (the GGA-PBE geometry in the Materials Project; Cu Ka).
Lines closer than 0.1° are merged.

```
data_Mg15Fe
_cell_length_a 6.3049
_cell_length_b 6.3049
_cell_length_c 9.9396
_cell_angle_alpha 90.00
_cell_angle_beta 90.00
_cell_angle_gamma 120.00
_symmetry_space_group_name_H-M 'P -6 m 2'
_symmetry_Int_Tables_number 187
_symmetry_space_group_name_Hall 'P -6 2'
loop_
_atom_site_label
_atom_site_type_symbol
_atom_site_fract_x
_atom_site_fract_y
_atom_site_fract_z
Mg1 Mg 0.0000 0.0000 0.0000
Mg2 Mg 0.0035 0.5018 0.0000
Mg3 Mg 0.1593 0.3186 0.2658
Mg4 Mg 0.5026 0.0051 0.5000
Mg5 Mg 0.6667 0.3333 0.2472
Fe1 Fe 0.0000 0.0000 0.5000
```

Main lines, in order of rising 2θ (2θ = 15–90°):
two_theta, intensity
16.2, 51
18.5, 59
32.8, 252
36.1, 239
37.6, 1000
49.6, 144
58.6, 171
66.0, 158
68.8, 26
70.8, 176
71.7, 132
80.2, 31

---

Entry 10:
Structure and simulated X-ray powder pattern of Mg7Fe (the GGA-PBE geometry in the Materials Project; Cu Ka).
Lines closer than 0.1° are merged.

```
data_Mg7Fe
_cell_length_a 6.1302
_cell_length_b 6.1302
_cell_length_c 4.9089
_cell_angle_alpha 90.00
_cell_angle_beta 90.00
_cell_angle_gamma 120.00
_symmetry_space_group_name_H-M 'P -6 m 2'
_symmetry_Int_Tables_number 187
_symmetry_space_group_name_Hall 'P -6 2'
loop_
_atom_site_label
_atom_site_type_symbol
_atom_site_fract_x
_atom_site_fract_y
_atom_site_fract_z
Mg1 Mg 0.0000 0.0000 0.0000
Mg2 Mg 0.1670 0.3340 0.5000
Mg3 Mg 0.5098 0.0196 0.0000
Fe1 Fe 0.6667 0.3333 0.5000
```

Main lines, in order of rising 2θ (2θ = 15–90°):
two_theta, intensity
16.7, 152
24.7, 61
33.8, 257
34.5, 34
36.6, 259
38.6, 1000
49.0, 44
50.7, 154
60.4, 162
67.2, 176
72.7, 178
74.0, 127

---

Entry 11:
Structure and simulated X-ray powder pattern of Mg3Fe (the GGA-PBE geometry in the Materials Project; Cu Ka).
Lines closer than 0.1° are merged.

```
data_Mg3Fe
_cell_length_a 2.933
_cell_length_b 4.670
_cell_length_c 5.149
_cell_angle_alpha 90.00
_cell_angle_beta 90.00
_cell_angle_gamma 90.00
_symmetry_space_group_name_H-M 'P m m 2'
_symmetry_Int_Tables_number 25
loop_
_symmetry_equiv_pos_as_xyz
'x,y,z'
'-x,-y,z'
'-x,y,z'
'x,-y,z'
loop_
_atom_site_label
_atom_site_type_symbol
_atom_site_fract_x
_atom_site_fract_y
_atom_site_fract_z
Mg1 Mg 0.000 0.000 0.000
Mg2 Mg 0.000 0.500 0.343
Mg3 Mg 0.500 0.000 0.538
Fe1 Fe 0.500 0.500 0.839
```

Main lines, in order of rising 2θ (2θ = 15–90°):
two_theta, intensity
17.2, 255
19.0, 148
35.2, 331
38.6, 390
40.0, 567
40.3, 1000
53.2, 189
62.7, 161
70.9, 167
76.1, 173
76.8, 142
77.7, 140

---

Entry 12:
Structure and simulated X-ray powder pattern of Mg3Fe (the GGA-PBE geometry in the Materials Project; Cu Ka).
Lines closer than 0.1° are merged.

```
data_Mg3Fe
_cell_length_a 5.9297
_cell_length_b 5.9297
_cell_length_c 4.8443
_cell_angle_alpha 90.00
_cell_angle_beta 90.00
_cell_angle_gamma 120.00
_symmetry_space_group_name_H-M 'P 63/m m c'
_symmetry_Int_Tables_number 194
_symmetry_space_group_name_Hall '-P 6c 2c'
loop_
_atom_site_label
_atom_site_type_symbol
_atom_site_fract_x
_atom_site_fract_y
_atom_site_fract_z
Mg1 Mg 0.1730 0.3460 0.2500
Fe1 Fe 0.3333 0.6667 0.7500
```

Main lines, in order of rising 2θ (2θ = 15–90°):
two_theta, intensity
17.3, 128
25.3, 180
30.1, 90
34.9, 241
37.1, 273
39.7, 1000
50.7, 73
51.9, 147
62.7, 157
68.7, 196
75.1, 176
76.8, 141